For DyEr3Pu, a DFT-relaxed cell (GGA-PBE, Alexandria) gives the simulated PXRD pattern in this record (λ = 1.5418 Å (Cu Kα)).
Neutral-atom scattering factors, no anomalous dispersion.

Crystal structure
Lattice parameters (Å, degrees): 8.600 9.206 8.627 90.00 117.84 90.00
Space group C2/m (No. 12)
Inequivalent atoms, fractional coordinates:
Dy  0.210  0.000  0.120 [4 per cell]
Er  0.069  0.182  0.715 [8 per cell]
Er  0.166  0.500  0.433 [4 per cell]
Pu  0.000  0.350  0.000 [4 per cell]

Peak list (10 most intense, 10° ≤ 2θ ≤ 80°, by angle)
2theta	d (Å)	I_rel	(hkl)
11.60	7.629	21	0 0 1
30.48	2.933	74	2 2 0
31.58	2.833	86	1 3 -1
31.92	2.804	100	2 0 -3
32.28	2.773	88	1 1 2
33.07	2.709	81	3 1 -1
35.92	2.500	77	1 3 -2
36.58	2.456	21	2 2 1
53.72	1.706	22	3 3 -4
60.50	1.530	28	3 3 2